For CaAg3F6, a crystal structure in Alexandria, relaxed with PBE gives the theoretical powder X-ray diffraction pattern in this record (copper Kα).

Principal peaks in the range 2θ from 10° to 90°, by intensity:
(0 2 1), 2θ 28.17, d 3.167, I = 100; (2 4 1), 2θ 46.09, d 1.969, I = 40; (4 2 1), 2θ 56.85, d 1.619, I = 25; (0 0 2), 2θ 48.30, d 1.884, I = 17; (2 6 0), 2θ 52.90, d 1.731, I = 16; (2 0 1), 2θ 33.63, d 2.665, I = 15; (2 6 2), 2θ 74.43, d 1.275, I = 11; (0 4 0), 2θ 30.59, d 2.923, I = 9; (1 1 1), 2θ 27.55, d 3.238, I = 9; (4 4 0), 2θ 58.26, d 1.584, I = 7

a b c (Å): 7.5424 11.6904 3.7664
angles (deg): 90.00 90.00 90.00
Space group Cmmm (No. 65)
Inequivalent atoms, fractional coordinates:
Ca1 0.0000 0.0000 0.0000 x2
Ag1 0.0000 0.5000 0.0000 x2
Ag2 0.2500 0.2500 0.5000 x4
F1 0.0000 0.1184 0.5000 x4
F2 0.2178 0.3813 0.0000 x8